Entry 1:
The following is a simulated powder diffraction line list of ZrCrS4. It was derived from the GGA-PBE geometry in the Materials Project, using Cu Ka.

Structural model:
abc: 7.073 7.073 7.073
angles: 121.30 117.61 90.98
Element x y z (fractional)
Zr  0.000  0.000  0.000
Zr  0.500  0.000  0.500
Cr  0.500  0.000  0.000
Cr  0.500  0.500  0.500
S  0.257  0.267  0.510
S  0.257  0.747  0.990
S  0.270  0.743  0.527
S  0.283  0.257  0.027
S  0.717  0.743  0.973
S  0.730  0.257  0.473
S  0.743  0.253  0.010
S  0.743  0.733  0.490

Main lines, by intensity (2θ from 15° to 90°):
35.65°, I 100.0; 15.59°, I 78.1; 51.74°, I 62.1; 15.03°, I 56.9; 36.23°, I 48.5; 29.00°, I 41.9; 29.93°, I 29.4; 38.93°, I 22.8; 65.73°, I 19.1; 49.77°, I 16.5

***

Entry 2:
The following is a simulated powder diffraction line list of CrSb. It was derived from the GGA-PBE geometry in the Materials Project, using Cu Ka.

Structural model:
abc: 4.018 4.018 5.890
angles: 90.00 90.00 120.00
Element x y z (fractional)
Cr  0.000  0.000  0.000
Cr  0.000  0.000  0.500
Sb  0.333  0.667  0.250
Sb  0.667  0.333  0.750

Main lines, by intensity (2θ from 15° to 90°):
29.82°, I 100.0; 40.11°, I 52.6; 45.14°, I 43.4; 53.60°, I 18.9; 55.04°, I 17.4; 80.95°, I 14.7; 73.83°, I 14.4; 61.95°, I 13.5; 79.88°, I 12.5; 89.75°, I 9.1

***

Entry 3:
The following is a simulated powder diffraction line list of SmCrSb3. It was derived from the GGA-PBE geometry in the Materials Project, using Cu Ka.

Structural model:
abc: 13.038 6.232 6.087
angles: 90.00 90.00 90.00
Element x y z (fractional)
Sm  0.192  0.005  0.250
Sm  0.192  0.495  0.750
Sm  0.808  0.505  0.250
Sm  0.808  0.995  0.750
Cr  0.406  0.750  0.000
Cr  0.406  0.750  0.500
Cr  0.594  0.250  0.000
Cr  0.594  0.250  0.500
Sb  0.001  0.750  0.000
Sb  0.001  0.750  0.500
Sb  0.279  0.002  0.750
Sb  0.279  0.498  0.250
Sb  0.437  0.101  0.250
Sb  0.437  0.399  0.750
Sb  0.563  0.601  0.250
Sb  0.563  0.899  0.750
Sb  0.721  0.502  0.750
Sb  0.721  0.998  0.250
Sb  0.999  0.250  0.000
Sb  0.999  0.250  0.500

Main lines, by intensity (2θ from 15° to 90°):
34.37°, I 100.0; 31.83°, I 56.9; 41.48°, I 54.5; 32.47°, I 36.6; 55.34°, I 21.8; 36.03°, I 21.5; 29.03°, I 19.8; 69.27°, I 19.1; 35.45°, I 17.0; 29.35°, I 14.1

***

Entry 4:
The following is a simulated powder diffraction line list of Cr10Sb3Te7. It was derived from the GGA-PBE geometry in the Materials Project, using Cu Ka.

Structural model:
abc: 7.167 7.174 10.118
angles: 89.94 76.44 60.15
Element x y z (fractional)
Cr  0.000  0.000  0.000
Cr  0.002  0.997  0.500
Cr  0.198  0.398  0.800
Cr  0.203  0.396  0.301
Cr  0.397  0.803  0.604
Cr  0.417  0.791  0.104
Cr  0.592  0.208  0.900
Cr  0.600  0.201  0.398
Cr  0.795  0.604  0.194
Cr  0.805  0.601  0.699
Sb  0.202  0.232  0.551
Sb  0.596  0.039  0.148
Sb  0.798  0.431  0.946
Te  0.000  0.171  0.248
Te  0.202  0.565  0.052
Te  0.391  0.635  0.350
Te  0.409  0.962  0.854
Te  0.600  0.367  0.649
Te  0.795  0.767  0.448
Te  0.997  0.837  0.752

Main lines, by intensity (2θ from 15° to 90°):
29.16°, I 100.0; 29.25°, I 97.7; 43.70°, I 59.1; 39.82°, I 50.2; 39.69°, I 48.6; 53.51°, I 34.8; 43.77°, I 29.5; 53.39°, I 24.0; 71.50°, I 15.0; 80.42°, I 13.5